[1]
Starting from a DFT-relaxed cell (GGA-PBE, Alexandria), the powder diffractogram of TbReSi2Ru was calculated for a wavelength of 1.5418 Å.
Lines closer than 0.1° are merged.

Peak list (10 most intense, 10° ≤ 2θ ≤ 80°, in order of falling intensity)
two_theta  Rel. int.
35.4  100
43.3  37
23.1  29
34.8  25
74.3  23
58.0  19
36.6  17
65.2  17
56.7  12
62.8  12

Cell and atoms:
```
10
Lattice="4.1830 0.0000 0.0000 0.0000 4.1830 0.0000 0.0000 0.0000 9.8089" Properties=species:S:1:pos:R:3 pbc="T T T"
Tb 0.0000 0.0000 0.0000
Tb 2.0915 2.0915 4.9045
Re 0.0000 2.0915 2.4522
Re 2.0915 0.0000 7.3567
Si 0.0000 0.0000 3.6578
Si 0.0000 0.0000 6.1511
Si 2.0915 2.0915 1.2467
Si 2.0915 2.0915 8.5622
Ru 0.0000 2.0915 7.3567
Ru 2.0915 0.0000 2.4522
```

=====

[2]
Starting from a DFT-relaxed cell (GGA-PBE, Alexandria), the powder diffractogram of AcSnH8Ir2 was calculated for a wavelength of 1.5418 Å.
Lines closer than 0.1° are merged.

Peak list (10 most intense, 10° ≤ 2θ ≤ 80°, in order of falling intensity)
two_theta  Rel. int.
28.3  100
36.1  67
46.5  27
60.2  25
31.8  23
44.4  15
58.2  15
21.2  13
64.9  12
76.5  8

Cell and atoms:
```
12
Lattice="2.4891 1.4371 6.1750 -2.4891 1.4371 6.1750 0.0000 -2.8742 6.1750" Properties=species:S:1:pos:R:3 pbc="T T T"
Ac 0.0000 0.0000 0.0000
Sn 0.0000 0.0000 9.2625
H 0.0000 -1.6533 4.0506
H -1.4318 0.8266 4.0506
H 0.0000 0.0000 5.7962
H -1.4318 -0.8266 14.4744
H 1.4318 0.8266 4.0506
H 0.0000 0.0000 12.7287
H 1.4318 -0.8266 14.4744
H 0.0000 1.6533 14.4744
Ir 0.0000 0.0000 4.1636
Ir 0.0000 0.0000 14.3614
```

=====

[3]
Starting from a DFT-relaxed cell (GGA-PBE, Alexandria), the powder diffractogram of PmDy3Tm7 was calculated for a wavelength of 1.5418 Å.
Lines closer than 0.1° are merged.

Peak list (10 most intense, 10° ≤ 2θ ≤ 80°, in order of falling intensity)
two_theta  Rel. int.
32.1  100
32.8  69
33.3  54
32.4  45
31.7  21
64.0  18
58.1  16
53.4  16
47.0  13
58.3  12

Cell and atoms:
```
11
Lattice="6.8696 0.0000 0.0000 0.0000 5.4649 0.0000 -3.2591 0.0000 9.2786" Properties=species:S:1:pos:R:3 pbc="T T T"
Pm 0.0000 0.0000 0.0000
Dy 0.2907 2.7324 4.5896
Dy 3.4348 0.0000 0.0000
Dy 3.3198 2.7324 4.6890
Tm -1.6296 0.0000 4.6393
Tm -1.5367 2.7324 7.3297
Tm 1.7464 2.7324 1.3160
Tm 1.8565 0.0000 3.0769
Tm 1.7540 0.0000 6.2016
Tm 1.8640 2.7324 7.9625
Tm 5.1472 2.7324 1.9489
```

=====

[4]
Starting from a DFT-relaxed cell (GGA-PBE, Alexandria), the powder diffractogram of Tl5SbPb was calculated for a wavelength of 1.5418 Å.
Lines closer than 0.1° are merged.

Peak list (10 most intense, 10° ≤ 2θ ≤ 80°, in order of falling intensity)
two_theta  Rel. int.
31.9  100
33.9  23
37.6  18
59.4  16
51.5  14
64.3  13
22.6  11
39.2  11
30.4  10
33.0  10

Cell and atoms:
```
14
Lattice="-4.5984 4.7824 5.2883 4.5984 -4.7824 5.2883 4.5984 4.7824 -5.2883" Properties=species:S:1:pos:R:3 pbc="T T T"
Tl 2.2992 4.6997 -2.6441
Tl 2.2992 -0.0827 2.6441
Tl 2.7043 2.3912 -0.0315
Tl 6.4925 2.3912 -0.0315
Tl 0.0000 2.3912 2.4655
Tl 4.5984 2.3912 2.8228
Tl -1.8941 2.3912 5.3198
Tl 1.8941 2.3912 5.3198
Tl -2.2992 4.8652 2.6441
Tl 2.2992 4.8652 2.6441
Sb 4.5984 -2.3912 2.8543
Sb 0.0000 7.1736 2.4340
Pb 0.0000 0.0000 0.0000
Pb 0.0000 4.7824 0.0000
```

=====

Q: Which formula does entry 4 have?
A: Tl5SbPb

=====

Repeat the first record exactly.
Starting from a DFT-relaxed cell (GGA-PBE, Alexandria), the powder diffractogram of TbReSi2Ru was calculated for a wavelength of 1.5418 Å.
Lines closer than 0.1° are merged.

Peak list (10 most intense, 10° ≤ 2θ ≤ 80°, in order of falling intensity)
two_theta  Rel. int.
35.4  100
43.3  37
23.1  29
34.8  25
74.3  23
58.0  19
36.6  17
65.2  17
56.7  12
62.8  12

Cell and atoms:
```
10
Lattice="4.1830 0.0000 0.0000 0.0000 4.1830 0.0000 0.0000 0.0000 9.8089" Properties=species:S:1:pos:R:3 pbc="T T T"
Tb 0.0000 0.0000 0.0000
Tb 2.0915 2.0915 4.9045
Re 0.0000 2.0915 2.4522
Re 2.0915 0.0000 7.3567
Si 0.0000 0.0000 3.6578
Si 0.0000 0.0000 6.1511
Si 2.0915 2.0915 1.2467
Si 2.0915 2.0915 8.5622
Ru 0.0000 2.0915 7.3567
Ru 2.0915 0.0000 2.4522
```

=====

Copy entry 1 word for word.
Starting from a DFT-relaxed cell (GGA-PBE, Alexandria), the powder diffractogram of TbReSi2Ru was calculated for a wavelength of 1.5418 Å.
Lines closer than 0.1° are merged.

Peak list (10 most intense, 10° ≤ 2θ ≤ 80°, in order of falling intensity)
two_theta  Rel. int.
35.4  100
43.3  37
23.1  29
34.8  25
74.3  23
58.0  19
36.6  17
65.2  17
56.7  12
62.8  12

Cell and atoms:
```
10
Lattice="4.1830 0.0000 0.0000 0.0000 4.1830 0.0000 0.0000 0.0000 9.8089" Properties=species:S:1:pos:R:3 pbc="T T T"
Tb 0.0000 0.0000 0.0000
Tb 2.0915 2.0915 4.9045
Re 0.0000 2.0915 2.4522
Re 2.0915 0.0000 7.3567
Si 0.0000 0.0000 3.6578
Si 0.0000 0.0000 6.1511
Si 2.0915 2.0915 1.2467
Si 2.0915 2.0915 8.5622
Ru 0.0000 2.0915 7.3567
Ru 2.0915 0.0000 2.4522
```